This entry pairs a crystal structure of CaY4Bi4O12 with its theoretical powder diffractogram. Radiation: Cu Kα X-rays. Structure: a structure optimized by DFT (PBE).

```
data_CaY4Bi4O12
_symmetry_space_group_name_H-M 'P 1'
_symmetry_Int_Tables_number 1
_symmetry_space_group_name_Hall 'P 1'
_cell_length_a 6.525
_cell_length_b 8.354
_cell_length_c 6.570
_cell_angle_alpha 90.00
_cell_angle_beta 95.84
_cell_angle_gamma 90.00
loop_
_atom_site_label
_atom_site_fract_x
_atom_site_fract_y
_atom_site_fract_z
Ca1 0.000 0.000 0.000
Y1 0.465 0.000 0.782
Y2 0.560 0.500 0.732
Y3 0.864 0.000 0.437
Y4 0.930 0.500 0.256
Bi1 0.079 0.319 0.727
Bi2 0.079 0.681 0.727
Bi3 0.482 0.241 0.253
Bi4 0.482 0.759 0.253
O1 0.124 0.300 0.402
O2 0.124 0.700 0.402
O3 0.137 0.000 0.684
O4 0.345 0.000 0.127
O5 0.400 0.290 0.863
O6 0.400 0.710 0.863
O7 0.633 0.160 0.563
O8 0.633 0.840 0.563
O9 0.654 0.500 0.412
O10 0.780 0.166 0.155
O11 0.780 0.834 0.155
O12 0.838 0.500 0.928
```

Most intense lines, 2θ from 10° to 80°, in order of rising 2θ:
2θ/deg, Rel. int.
18.3, 46.9
20.2, 20.4
25.3, 22.1
27.3, 46.7
27.5, 35.9
28.2, 56.2
29.3, 17.2
29.5, 100.0
35.0, 44.6
41.1, 18.4
47.9, 21.4
50.5, 17.1

This entry pairs a crystal structure of Ca2YBiO6 with its theoretical powder diffractogram. Radiation: Cu Kα X-rays. Structure: a structure optimized by DFT (PBE).

```
data_Ca2YBiO6
_symmetry_space_group_name_H-M 'P 1'
_symmetry_Int_Tables_number 1
_symmetry_space_group_name_Hall 'P 1'
_cell_length_a 5.879
_cell_length_b 5.879
_cell_length_c 8.529
_cell_angle_alpha 90.00
_cell_angle_beta 90.00
_cell_angle_gamma 90.00
loop_
_atom_site_label
_atom_site_fract_x
_atom_site_fract_y
_atom_site_fract_z
Ca1 0.000 0.500 0.250
Ca2 0.000 0.500 0.750
Ca3 0.500 0.000 0.250
Ca4 0.500 0.000 0.750
Y1 0.000 0.000 0.000
Y2 0.500 0.500 0.500
Bi1 0.000 0.000 0.500
Bi2 0.500 0.500 0.000
O1 0.000 0.000 0.255
O2 0.000 0.000 0.745
O3 0.158 0.325 0.500
O4 0.175 0.342 0.000
O5 0.325 0.842 0.500
O6 0.342 0.825 0.000
O7 0.500 0.500 0.245
O8 0.500 0.500 0.755
O9 0.658 0.175 0.000
O10 0.675 0.158 0.500
O11 0.825 0.658 0.000
O12 0.842 0.675 0.500
```

Most intense lines, 2θ from 10° to 80°, in order of rising 2θ:
2θ/deg, Rel. int.
18.3, 39.7
20.8, 33.7
21.4, 54.4
30.0, 100.0
30.4, 64.8
35.7, 14.7
42.4, 20.1
43.5, 30.1
49.0, 18.0
53.1, 26.6
53.8, 51.0
62.4, 19.7

Repeat the first record exactly.
This entry pairs a crystal structure of CaY4Bi4O12 with its theoretical powder diffractogram. Radiation: Cu Kα X-rays. Structure: a structure optimized by DFT (PBE).

```
data_CaY4Bi4O12
_symmetry_space_group_name_H-M 'P 1'
_symmetry_Int_Tables_number 1
_symmetry_space_group_name_Hall 'P 1'
_cell_length_a 6.525
_cell_length_b 8.354
_cell_length_c 6.570
_cell_angle_alpha 90.00
_cell_angle_beta 95.84
_cell_angle_gamma 90.00
loop_
_atom_site_label
_atom_site_fract_x
_atom_site_fract_y
_atom_site_fract_z
Ca1 0.000 0.000 0.000
Y1 0.465 0.000 0.782
Y2 0.560 0.500 0.732
Y3 0.864 0.000 0.437
Y4 0.930 0.500 0.256
Bi1 0.079 0.319 0.727
Bi2 0.079 0.681 0.727
Bi3 0.482 0.241 0.253
Bi4 0.482 0.759 0.253
O1 0.124 0.300 0.402
O2 0.124 0.700 0.402
O3 0.137 0.000 0.684
O4 0.345 0.000 0.127
O5 0.400 0.290 0.863
O6 0.400 0.710 0.863
O7 0.633 0.160 0.563
O8 0.633 0.840 0.563
O9 0.654 0.500 0.412
O10 0.780 0.166 0.155
O11 0.780 0.834 0.155
O12 0.838 0.500 0.928
```

Most intense lines, 2θ from 10° to 80°, in order of rising 2θ:
2θ/deg, Rel. int.
18.3, 46.9
20.2, 20.4
25.3, 22.1
27.3, 46.7
27.5, 35.9
28.2, 56.2
29.3, 17.2
29.5, 100.0
35.0, 44.6
41.1, 18.4
47.9, 21.4
50.5, 17.1

Which formula does entry 2 have?
Ca2YBiO6